NaTbCl3: simulated powder diffraction line list (Cu Kα X-rays), based on the GGA-PBE geometry in Alexandria.
Kinematic intensities with the Lorentz-polarization factor, no thermal factor.

Cell and atoms:
```
data_NaTbCl3
_chemical_formula_sum 'Na4 Tb4 Cl12'
_cell_length_a 4.0861
_cell_length_b 17.4254
_cell_length_c 6.9729
_cell_angle_alpha 90.00
_cell_angle_beta 90.00
_cell_angle_gamma 90.00
_space_group_name_H-M_alt 'C m c 21'
_space_group_IT_number 36
loop_
_space_group_symop_operation_xyz
'x,y,z'
'-x,-y,z+1/2'
'-x,y,z'
'x,-y,z+1/2'
'x+1/2,y+1/2,z'
'-x+1/2,-y+1/2,z+1/2'
'-x+1/2,y+1/2,z'
'x+1/2,-y+1/2,z+1/2'
loop_
_atom_site_label
_atom_site_type_symbol
_atom_site_fract_x
_atom_site_fract_y
_atom_site_fract_z
Na1 Na 0.0000 0.1895 0.0000
Tb1 Tb 0.0000 0.4675 0.0912
Cl1 Cl 0.0000 0.0296 0.8676
Cl2 Cl 0.0000 0.3174 0.2248
Cl3 Cl 0.0000 0.3853 0.7383
```

Main lines, by intensity (15° ≤ 2θ ≤ 90°):
| (hkl) | d [Å] | 2θ (°) | intensity |
| --- | --- | --- | --- |
| 1 1 2 | 2.622 | 34.20 | 100 |
| 1 1 0 | 3.978 | 22.35 | 99 |
| 1 3 2 | 2.413 | 37.27 | 80 |
| 1 7 1 | 2.033 | 44.56 | 68 |
| 0 6 1 | 2.681 | 33.42 | 51 |
| 1 5 1 | 2.478 | 36.24 | 44 |
| 0 4 1 | 3.695 | 24.09 | 38 |
| 0 2 2 | 3.237 | 27.56 | 29 |
| 2 0 0 | 2.043 | 44.34 | 28 |
| 0 4 0 | 4.356 | 20.39 | 24 |
| 1 3 1 | 3.014 | 29.64 | 24 |
| 0 0 2 | 3.486 | 25.55 | 24 |